Theoretical powder diffraction line list
Compound: TbTeAuO
Radiation: CuKα
Structure: a crystal structure in OQMD, relaxed with GGA-PBE
No peak broadening, texture or thermal motion is included.

Principal peaks in the range 2θ from 10° to 90°, most intense first:
(0 0 2), 2θ 31.17, intensity 100; (1 3 1), 2θ 34.20, intensity 94; (1 2 1), 2θ 28.01, intensity 94; (2 1 0), 2θ 32.49, intensity 68; (2 1 2), 2θ 45.64, intensity 66; (2 2 0), 2θ 35.90, intensity 62

Cell and atoms:
abc: 5.7192 10.3166 5.7387
angles: 90.00 90.00 90.00
Fractional positions:
1 Tb 0.0000 0.1044 0.2500
2 Tb 0.0000 0.8956 0.7500
3 Tb 0.5000 0.1044 0.7500
4 Tb 0.5000 0.8956 0.2500
5 Te 0.0000 0.2776 0.7500
6 Te 0.0000 0.7224 0.2500
7 Te 0.5000 0.2776 0.2500
8 Te 0.5000 0.7224 0.7500
9 Au 0.2500 0.5000 0.2439
10 Au 0.2500 0.5000 0.7439
11 Au 0.7500 0.5000 0.2561
12 Au 0.7500 0.5000 0.7561
13 O 0.2500 0.0000 0.0003
14 O 0.2500 0.0000 0.5003
15 O 0.7500 0.0000 0.9997
16 O 0.7500 0.0000 0.4997